Er6Sb3H: computed powder X-ray diffraction pattern (Cu Kα X-rays), based on a DFT-relaxed cell (GGA-PBE, Alexandria).

Principal peaks in the range 2θ from 15° to 90°, by angle:
2θ 28.2, intensity 19; 2θ 30.7, intensity 21; 2θ 32.2, intensity 24; 2θ 33.0, intensity 100; 2θ 36.3, intensity 18; 2θ 36.7, intensity 14; 2θ 38.0, intensity 27; 2θ 50.9, intensity 16

Structure:
Lattice parameters (Å, degrees): 9.3816 9.3816 6.1528 90.00 90.00 104.80
Element x y z (fractional)
Er (0.0818, 0.9182, 0.5000)
Er (0.0933, 0.5476, 0.2972)
Er (0.2565, 0.3606, 0.8563)
Er (0.2704, 0.7296, 0.7874)
Er (0.3606, 0.2565, 0.3563)
Er (0.4524, 0.9067, 0.2972)
Er (0.5476, 0.0933, 0.7972)
Er (0.6394, 0.7435, 0.8563)
Er (0.7296, 0.2704, 0.2874)
Er (0.7435, 0.6394, 0.3563)
Er (0.9067, 0.4524, 0.7972)
Er (0.9182, 0.0818, 0.0000)
Sb (0.0382, 0.2421, 0.5000)
Sb (0.2421, 0.0382, 0.0000)
Sb (0.4149, 0.5851, 0.1854)
Sb (0.5851, 0.4149, 0.6854)
Sb (0.7579, 0.9618, 0.5000)
Sb (0.9618, 0.7579, 0.0000)
H (0.2257, 0.7743, 0.4414)
H (0.7743, 0.2257, 0.9414)

***

TlCr5Te8: computed powder X-ray diffraction pattern (Cu Kα X-rays), based on a DFT-relaxed cell (GGA-PBE, Alexandria).

Principal peaks in the range 2θ from 15° to 90°, by angle:
2θ 28.8, intensity 40; 2θ 28.9, intensity 37; 2θ 29.0, intensity 100; 2θ 30.4, intensity 72; 2θ 30.8, intensity 27; 2θ 36.6, intensity 26; 2θ 45.6, intensity 29; 2θ 45.7, intensity 38

Structure:
Lattice parameters (Å, degrees): 10.4922 10.4922 9.5706 104.43 104.43 21.86
Element x y z (fractional)
Tl (0.0000, 0.0000, 0.0000)
Cr (0.1855, 0.1855, 0.4774)
Cr (0.2335, 0.2335, 0.8270)
Cr (0.5303, 0.5303, 0.4988)
Cr (0.8249, 0.8249, 0.1706)
Cr (0.8714, 0.8714, 0.5170)
Te (0.1032, 0.1032, 0.6608)
Te (0.2897, 0.2897, 0.3419)
Te (0.3582, 0.3582, 0.0065)
Te (0.4440, 0.4440, 0.6747)
Te (0.6139, 0.6139, 0.3180)
Te (0.7011, 0.7011, 0.9904)
Te (0.7673, 0.7673, 0.6511)
Te (0.9565, 0.9565, 0.3375)